Record 1
For Ca3Sn13Rh4, a GGA-PBE-relaxed structure gives the calculated powder X-ray diffraction pattern in this record (Cu Kα).

Top 10 peaks for 15° ≤ 2θ ≤ 90°, by angle:
| two_theta | d/Å | I (rel.) |
| --- | --- | --- |
| 28.7 | 3.113 | 17 |
| 32.8 | 2.730 | 100 |
| 34.1 | 2.631 | 35 |
| 36.5 | 2.461 | 19 |
| 37.7 | 2.387 | 21 |
| 41.0 | 2.201 | 20 |
| 45.1 | 2.009 | 41 |
| 54.3 | 1.688 | 17 |
| 57.7 | 1.597 | 18 |
| 66.5 | 1.406 | 16 |

Atomic structure:
a = 9.843 Å, b = 9.843 Å, c = 9.843 Å
α = 90.00°, β = 90.00°, γ = 90.00°
Fractional positions:
Ca  0.000  0.250  0.500
Ca  0.000  0.750  0.500
Ca  0.250  0.500  0.000
Ca  0.500  0.000  0.250
Ca  0.500  0.000  0.750
Ca  0.750  0.500  0.000
Sn  0.000  0.000  0.000
Sn  0.000  0.304  0.153
Sn  0.000  0.304  0.847
Sn  0.000  0.696  0.153
Sn  0.000  0.696  0.847
Sn  0.153  0.000  0.304
Sn  0.153  0.000  0.696
Sn  0.196  0.500  0.347
Sn  0.196  0.500  0.653
Sn  0.304  0.153  0.000
Sn  0.304  0.847  0.000
Sn  0.347  0.196  0.500
Sn  0.347  0.804  0.500
Sn  0.500  0.347  0.196
Sn  0.500  0.347  0.804
Sn  0.500  0.500  0.500
Sn  0.500  0.653  0.196
Sn  0.500  0.653  0.804
Sn  0.653  0.196  0.500
Sn  0.653  0.804  0.500
Sn  0.696  0.153  0.000
Sn  0.696  0.847  0.000
Sn  0.804  0.500  0.347
Sn  0.804  0.500  0.653
Sn  0.847  0.000  0.304
Sn  0.847  0.000  0.696
Rh  0.250  0.250  0.250
Rh  0.250  0.250  0.750
Rh  0.250  0.750  0.250
Rh  0.250  0.750  0.750
Rh  0.750  0.250  0.250
Rh  0.750  0.250  0.750
Rh  0.750  0.750  0.250
Rh  0.750  0.750  0.750

Record 2
For VFeSb, a GGA-PBE-relaxed structure gives the calculated powder X-ray diffraction pattern in this record (Cu Kα).

Top 10 peaks for 15° ≤ 2θ ≤ 90°, by angle:
| two_theta | d/Å | I (rel.) |
| --- | --- | --- |
| 23.4 | 3.798 | 13 |
| 28.9 | 3.087 | 28 |
| 33.8 | 2.651 | 19 |
| 41.2 | 2.193 | 100 |
| 41.5 | 2.174 | 72 |
| 54.3 | 1.690 | 28 |
| 59.9 | 1.544 | 23 |
| 75.0 | 1.266 | 16 |
| 75.3 | 1.262 | 22 |
| 85.6 | 1.134 | 22 |

Atomic structure:
a = 4.385 Å, b = 4.385 Å, c = 5.302 Å
α = 90.00°, β = 90.00°, γ = 120.00°
Fractional positions:
V  0.000  0.000  0.000
V  0.000  0.000  0.500
Fe  0.333  0.667  0.250
Fe  0.667  0.333  0.750
Sb  0.333  0.667  0.750
Sb  0.667  0.333  0.250

Record 3
For DyAlCu4, a GGA-PBE-relaxed structure gives the calculated powder X-ray diffraction pattern in this record (Cu Kα).

Top 10 peaks for 15° ≤ 2θ ≤ 90°, by angle:
| two_theta | d/Å | I (rel.) |
| --- | --- | --- |
| 29.8 | 2.999 | 79 |
| 34.8 | 2.580 | 27 |
| 40.4 | 2.234 | 53 |
| 41.5 | 2.175 | 100 |
| 44.8 | 2.023 | 27 |
| 59.3 | 1.558 | 23 |
| 61.9 | 1.499 | 29 |
| 66.9 | 1.398 | 23 |
| 73.4 | 1.290 | 23 |
| 80.3 | 1.195 | 14 |

Atomic structure:
a = 5.159 Å, b = 5.159 Å, c = 4.046 Å
α = 90.00°, β = 90.00°, γ = 120.00°
Fractional positions:
Dy  0.000  0.000  0.000
Al  0.333  0.667  0.000
Cu  0.501  0.002  0.500
Cu  0.501  0.499  0.500
Cu  0.667  0.333  0.000
Cu  0.998  0.499  0.500

Record 4
For Tb11Sn10, a GGA-PBE-relaxed structure gives the calculated powder X-ray diffraction pattern in this record (Cu Kα).

Top 10 peaks for 15° ≤ 2θ ≤ 90°, by angle:
| two_theta | d/Å | I (rel.) |
| --- | --- | --- |
| 30.6 | 2.925 | 34 |
| 31.1 | 2.873 | 100 |
| 31.7 | 2.824 | 93 |
| 31.9 | 2.804 | 50 |
| 32.3 | 2.769 | 51 |
| 32.5 | 2.758 | 69 |
| 34.1 | 2.626 | 23 |
| 34.8 | 2.578 | 63 |
| 41.7 | 2.167 | 24 |
| 46.6 | 1.950 | 22 |

Atomic structure:
a = 11.933 Å, b = 11.933 Å, c = 11.933 Å
α = 121.28°, β = 121.28°, γ = 87.80°
Fractional positions:
Tb  0.059  0.311  0.748
Tb  0.102  0.431  0.329
Tb  0.102  0.773  0.671
Tb  0.163  0.163  0.000
Tb  0.227  0.898  0.329
Tb  0.311  0.059  0.748
Tb  0.311  0.563  0.252
Tb  0.326  0.326  0.651
Tb  0.326  0.674  0.000
Tb  0.431  0.102  0.329
Tb  0.437  0.689  0.748
Tb  0.563  0.311  0.252
Tb  0.569  0.898  0.671
Tb  0.674  0.326  0.000
Tb  0.674  0.674  0.349
Tb  0.689  0.437  0.748
Tb  0.689  0.941  0.252
Tb  0.773  0.102  0.671
Tb  0.837  0.837  0.000
Tb  0.898  0.227  0.329
Tb  0.898  0.569  0.671
Tb  0.941  0.689  0.252
Sn  0.031  0.031  0.414
Sn  0.031  0.617  0.000
Sn  0.129  0.129  0.259
Sn  0.129  0.871  0.000
Sn  0.143  0.500  0.643
Sn  0.250  0.750  0.500
Sn  0.383  0.383  0.414
Sn  0.383  0.969  0.000
Sn  0.388  0.388  0.000
Sn  0.500  0.143  0.643
Sn  0.500  0.857  0.357
Sn  0.612  0.612  0.000
Sn  0.617  0.031  0.000
Sn  0.617  0.617  0.586
Sn  0.750  0.250  0.500
Sn  0.857  0.500  0.357
Sn  0.871  0.129  0.000
Sn  0.871  0.871  0.741
Sn  0.969  0.383  0.000
Sn  0.969  0.969  0.586

Record 5
For RbPPbS4, a GGA-PBE-relaxed structure gives the calculated powder X-ray diffraction pattern in this record (Cu Kα).

Top 10 peaks for 15° ≤ 2θ ≤ 90°, by angle:
| two_theta | d/Å | I (rel.) |
| --- | --- | --- |
| 18.8 | 4.732 | 47 |
| 21.3 | 4.170 | 100 |
| 24.0 | 3.707 | 36 |
| 26.1 | 3.417 | 61 |
| 27.6 | 3.227 | 65 |
| 29.1 | 3.074 | 79 |
| 33.2 | 2.702 | 47 |
| 35.9 | 2.498 | 35 |
| 39.4 | 2.285 | 64 |
| 43.4 | 2.085 | 40 |

Atomic structure:
a = 6.558 Å, b = 6.834 Å, c = 17.650 Å
α = 90.00°, β = 90.00°, γ = 90.00°
Fractional positions:
Rb  0.019  0.003  0.043
Rb  0.481  0.997  0.543
Rb  0.519  0.497  0.957
Rb  0.981  0.503  0.457
P  0.219  0.011  0.347
P  0.281  0.989  0.847
P  0.719  0.489  0.653
P  0.781  0.511  0.153
Pb  0.214  0.529  0.731
Pb  0.286  0.471  0.231
Pb  0.714  0.971  0.269
Pb  0.786  0.029  0.769
S  0.044  0.504  0.090
S  0.103  0.752  0.874
S  0.112  0.237  0.867
S  0.151  0.036  0.233
S  0.349  0.964  0.733
S  0.388  0.763  0.367
S  0.397  0.248  0.374
S  0.456  0.496  0.590
S  0.544  0.996  0.910
S  0.603  0.748  0.126
S  0.612  0.263  0.133
S  0.651  0.464  0.767
S  0.849  0.536  0.267
S  0.888  0.737  0.633
S  0.897  0.252  0.626
S  0.956  0.004  0.410

Record 6
For UAlCo, a GGA-PBE-relaxed structure gives the calculated powder X-ray diffraction pattern in this record (Cu Kα).

Top 10 peaks for 15° ≤ 2θ ≤ 90°, by angle:
| two_theta | d/Å | I (rel.) |
| --- | --- | --- |
| 20.8 | 4.270 | 100 |
| 33.0 | 2.715 | 23 |
| 35.0 | 2.567 | 37 |
| 35.4 | 2.536 | 91 |
| 39.8 | 2.267 | 53 |
| 41.0 | 2.200 | 66 |
| 42.3 | 2.135 | 20 |
| 43.0 | 2.103 | 50 |
| 60.5 | 1.531 | 20 |
| 63.0 | 1.476 | 18 |

Atomic structure:
a = 5.091 Å, b = 5.091 Å, c = 5.091 Å
α = 119.44°, β = 115.55°, γ = 94.43°
Fractional positions:
U  0.407  0.157  0.250
U  0.593  0.843  0.750
Al  0.000  0.000  0.500
Al  0.000  0.500  0.000
Co  0.000  0.500  0.500
Co  0.500  0.500  0.000

Record 7
For SnCl2O2, a GGA-PBE-relaxed structure gives the calculated powder X-ray diffraction pattern in this record (Cu Kα).

Top 10 peaks for 15° ≤ 2θ ≤ 90°, by angle:
| two_theta | d/Å | I (rel.) |
| --- | --- | --- |
| 15.9 | 5.587 | 60 |
| 22.1 | 4.021 | 100 |
| 23.9 | 3.721 | 80 |
| 24.1 | 3.686 | 72 |
| 25.0 | 3.555 | 47 |
| 26.3 | 3.391 | 36 |
| 32.8 | 2.731 | 50 |
| 33.9 | 2.646 | 34 |
| 36.5 | 2.460 | 40 |
| 38.0 | 2.365 | 86 |

Atomic structure:
a = 9.487 Å, b = 7.391 Å, c = 9.609 Å
α = 90.00°, β = 116.32°, γ = 90.00°
Fractional positions:
Sn  0.092  0.217  0.147
Sn  0.092  0.283  0.647
Sn  0.908  0.717  0.353
Sn  0.908  0.783  0.853
Cl  0.133  0.015  0.394
Cl  0.133  0.485  0.894
Cl  0.180  0.557  0.503
Cl  0.180  0.943  0.003
Cl  0.820  0.057  0.997
Cl  0.820  0.443  0.497
Cl  0.867  0.515  0.106
Cl  0.867  0.985  0.606
O  0.420  0.618  0.308
O  0.420  0.882  0.808
O  0.425  0.049  0.814
O  0.425  0.451  0.314
O  0.575  0.549  0.686
O  0.575  0.951  0.186
O  0.580  0.118  0.192
O  0.580  0.382  0.692

Record 8
For Li2GaCu3, a GGA-PBE-relaxed structure gives the calculated powder X-ray diffraction pattern in this record (Cu Kα).

Top 10 peaks for 15° ≤ 2θ ≤ 90°, by angle:
| two_theta | d/Å | I (rel.) |
| --- | --- | --- |
| 22.1 | 4.021 | 100 |
| 22.6 | 3.934 | 28 |
| 43.0 | 2.104 | 19 |
| 43.3 | 2.091 | 41 |
| 43.8 | 2.067 | 20 |
| 45.1 | 2.011 | 64 |
| 46.1 | 1.967 | 20 |
| 52.9 | 1.732 | 36 |
| 57.5 | 1.602 | 14 |
| 77.3 | 1.235 | 12 |

Atomic structure:
a = 4.859 Å, b = 4.859 Å, c = 4.859 Å
α = 61.09°, β = 61.09°, γ = 61.09°
Fractional positions:
Li  0.125  0.125  0.125
Li  0.875  0.875  0.875
Ga  0.500  0.500  0.500
Cu  0.000  0.500  0.500
Cu  0.500  0.000  0.500
Cu  0.500  0.500  0.000

Record 9
For MnSe, a GGA-PBE-relaxed structure gives the calculated powder X-ray diffraction pattern in this record (Cu Kα).

Top 10 peaks for 15° ≤ 2θ ≤ 90°, by angle:
| two_theta | d/Å | I (rel.) |
| --- | --- | --- |
| 24.4 | 3.641 | 100 |
| 26.1 | 3.420 | 59 |
| 27.8 | 3.214 | 73 |
| 36.0 | 2.493 | 37 |
| 43.0 | 2.102 | 84 |
| 47.0 | 1.932 | 82 |
| 51.0 | 1.791 | 53 |
| 65.6 | 1.423 | 29 |
| 74.0 | 1.280 | 21 |
| 81.7 | 1.178 | 31 |

Atomic structure:
a = 4.205 Å, b = 4.205 Å, c = 6.839 Å
α = 90.00°, β = 90.00°, γ = 120.00°
Fractional positions:
Mn  0.333  0.667  0.000
Mn  0.667  0.333  0.500
Se  0.333  0.667  0.624
Se  0.667  0.333  0.124

Record 10
For Er6Ga17Pd5, a GGA-PBE-relaxed structure gives the calculated powder X-ray diffraction pattern in this record (Cu Kα).

Top 10 peaks for 15° ≤ 2θ ≤ 90°, by angle:
| two_theta | d/Å | I (rel.) |
| --- | --- | --- |
| 30.1 | 2.970 | 21 |
| 35.0 | 2.566 | 40 |
| 35.4 | 2.539 | 21 |
| 35.5 | 2.530 | 100 |
| 35.6 | 2.523 | 79 |
| 37.0 | 2.427 | 32 |
| 37.9 | 2.374 | 20 |
| 38.0 | 2.367 | 20 |
| 42.3 | 2.138 | 60 |
| 43.9 | 2.065 | 37 |

Atomic structure:
a = 8.146 Å, b = 8.146 Å, c = 15.645 Å
α = 103.81°, β = 103.81°, γ = 30.44°
Fractional positions:
Er  0.096  0.096  0.404
Er  0.251  0.251  0.251
Er  0.400  0.400  0.100
Er  0.600  0.600  0.900
Er  0.749  0.749  0.749
Er  0.904  0.904  0.596
Ga  0.000  0.000  0.000
Ga  0.040  0.040  0.178
Ga  0.106  0.106  0.764
Ga  0.178  0.178  0.040
Ga  0.239  0.239  0.894
Ga  0.264  0.264  0.604
Ga  0.327  0.327  0.458
Ga  0.395  0.395  0.738
Ga  0.458  0.458  0.327
Ga  0.542  0.542  0.673
Ga  0.605  0.605  0.262
Ga  0.673  0.673  0.542
Ga  0.736  0.736  0.396
Ga  0.761  0.761  0.106
Ga  0.822  0.822  0.960
Ga  0.894  0.894  0.236
Ga  0.960  0.960  0.822
Pd  0.100  0.100  0.600
Pd  0.410  0.410  0.909
Pd  0.500  0.500  0.500
Pd  0.590  0.590  0.091
Pd  0.900  0.900  0.400

Record 11
For CsU2F9, a GGA-PBE-relaxed structure gives the calculated powder X-ray diffraction pattern in this record (Cu Kα).

Top 10 peaks for 15° ≤ 2θ ≤ 90°, by angle:
| two_theta | d/Å | I (rel.) |
| --- | --- | --- |
| 21.3 | 4.164 | 29 |
| 21.7 | 4.104 | 28 |
| 23.3 | 3.825 | 100 |
| 23.7 | 3.759 | 28 |
| 25.4 | 3.511 | 43 |
| 25.5 | 3.488 | 49 |
| 27.4 | 3.258 | 46 |
| 27.6 | 3.236 | 45 |
| 43.4 | 2.084 | 33 |
| 43.6 | 2.076 | 25 |

Atomic structure:
a = 7.172 Å, b = 8.386 Å, c = 8.726 Å
α = 115.97°, β = 90.00°, γ = 114.36°
Fractional positions:
Cs  0.000  0.000  0.000
Cs  0.230  0.999  0.494
U  0.306  0.571  0.949
U  0.498  0.571  0.449
U  0.735  0.423  0.037
U  0.926  0.425  0.538
F  0.017  0.342  0.970
F  0.068  0.695  0.114
F  0.108  0.329  0.678
F  0.150  0.686  0.826
F  0.178  0.320  0.382
F  0.244  0.678  0.533
F  0.382  0.642  0.239
F  0.384  0.319  0.880
F  0.460  0.329  0.176
F  0.488  0.637  0.737
F  0.565  0.340  0.469
F  0.600  0.111  0.904
F  0.663  0.677  0.033
F  0.763  0.112  0.406
F  0.764  0.388  0.764
F  0.767  0.684  0.325
F  0.855  0.696  0.615
F  0.862  0.385  0.263